Cu2P8Se3I2: calculated powder X-ray diffraction pattern (CuKα), based on DFT lattice parameters and positions (PBE).
Kinematic intensities with the Lorentz-polarization factor, no thermal factor.

Main lines, low angle first (2θ from 10° to 90°):
2θ/deg  d (Å)  Rel. int.  h k l
18.80  4.719  62  0 2 2
22.45  3.961  54  1 1 3
26.20  3.401  59  1 3 2
27.32  3.265  67  1 0 4
27.83  3.205  55  0 4 0
28.20  3.164  56  1 1 4
29.94  2.985  100  3 1 1
30.09  2.970  49  1 4 1
30.67  2.915  50  0 4 2
32.33  2.769  45  3 2 1

Structural model:
Lattice parameters (Å, degrees): 9.4378 12.8430 13.9178 90.00 90.00 90.00
Space group Pbcm (No. 57)
Asymmetric unit:
Cu 0.0022 0.1281 0.2500 x4
Cu 0.1928 0.0822 0.7500 x4
P 0.0768 0.1958 0.1087 x8
P 0.1825 0.0757 0.0197 x8
P 0.2325 0.1694 0.6127 x8
P 0.4420 0.2451 0.5792 x8
Se 0.0889 0.7500 0.0000 x4
Se 0.3914 0.0834 0.1046 x8
I 0.0920 0.5699 0.7500 x4
I 0.2779 0.6122 0.2500 x4